Simulated X-ray powder pattern
Compound: Rb2SrAlI6
Radiation: Cu Kα (weighted mean of Kα1 and Kα2)
Structure: a DFT-relaxed cell (GGA-PBE, Alexandria)
Peak positions follow from Bragg's law for the DFT cell and can differ from measured ones.

Principal peaks in the range 10 to 80 degrees two-theta, in order of rising 2θ:
hkl 2 0 0, 2θ 14.36, intensity 17; hkl 2 2 2, 2θ 25.01, intensity 100; hkl 4 0 0, 2θ 28.96, intensity 85; hkl 3 3 1, 2θ 31.63, intensity 6; hkl 4 2 0, 2θ 32.47, intensity 8; hkl 4 4 0, 2θ 41.42, intensity 62; hkl 6 2 2, 2θ 49.00, intensity 44; hkl 4 4 4, 2θ 51.33, intensity 21; hkl 8 0 0, 2θ 60.01, intensity 10; hkl 6 6 2, 2θ 66.05, intensity 17; hkl 8 4 0, 2θ 67.99, intensity 26; hkl 8 4 4, 2θ 75.54, intensity 19

Atomic structure:
Cell: 12.3320 12.3320 12.3320 Å, 90.00 90.00 90.00°
Space group Fm-3m (No. 225)
Unique sites:
Rb 0.2500 0.2500 0.2500 [8 per cell]
Sr 0.0000 0.0000 0.0000 [4 per cell]
Al 0.0000 0.0000 0.5000 [4 per cell]
I 0.0000 0.0000 0.2624 [24 per cell]

Simulated X-ray powder pattern
Compound: Y2PuTe4
Radiation: Cu Kα (weighted mean of Kα1 and Kα2)
Structure: a DFT-relaxed cell (GGA-PBE, Alexandria)
Peak positions follow from Bragg's law for the DFT cell and can differ from measured ones.

Principal peaks in the range 10 to 80 degrees two-theta, in order of rising 2θ:
hkl 1 0 1, 2θ 13.41, intensity 16; hkl 2 1 1, 2θ 23.23, intensity 18; hkl 3 0 1, 2θ 30.08, intensity 100; hkl 1 0 3, 2θ 30.42, intensity 61; hkl 3 2 1, 2θ 35.77, intensity 40; hkl 3 1 2, 2θ 35.87, intensity 59; hkl 2 1 3, 2θ 36.04, intensity 20; hkl 4 2 2, 2θ 47.48, intensity 14; hkl 4 3 1, 2θ 49.46, intensity 12; hkl 6 1 1, 2θ 60.77, intensity 20; hkl 6 2 0, 2θ 62.51, intensity 14; hkl 5 5 2, 2θ 74.17, intensity 13

Atomic structure:
Cell: 9.4015 9.4015 9.2813 Å, 90.00 90.00 90.00°
Space group I-42d (No. 122)
Unique sites:
Y 0.1284 0.7500 0.1250 [8 per cell]
Pu 0.0000 0.0000 0.5000 [4 per cell]
Te 0.0743 0.6750 0.4456 [16 per cell]

Simulated X-ray powder pattern
Compound: MgH4Br3N
Radiation: Cu Kα (weighted mean of Kα1 and Kα2)
Structure: a DFT-relaxed cell (GGA-PBE, Alexandria)
Peak positions follow from Bragg's law for the DFT cell and can differ from measured ones.

Principal peaks in the range 10 to 80 degrees two-theta, in order of rising 2θ:
hkl 0 1 1, 2θ 13.16, intensity 47; hkl 2 0 0, 2θ 26.52, intensity 100; hkl 1 0 4, 2θ 29.71, intensity 59; hkl 2 2 0, 2θ 35.33, intensity 28; hkl 1 2 4, 2θ 37.85, intensity 48; hkl 2 2 4, 2θ 44.71, intensity 12; hkl 3 2 0, 2θ 46.83, intensity 16; hkl 0 4 2, 2θ 48.84, intensity 34; hkl 4 0 0, 2θ 54.63, intensity 17; hkl 2 4 2, 2θ 56.43, intensity 28; hkl 1 4 6, 2θ 65.07, intensity 11; hkl 4 4 2, 2θ 76.28, intensity 17

Atomic structure:
Cell: 6.7172 7.7661 13.4500 Å, 89.97 89.99 90.00°
Space group P1 (No. 1)
Unique sites:
Mg 0.0000 0.0000 0.0000 [1 per cell]
Mg 0.0068 0.5005 0.4997 [1 per cell]
Mg 0.5000 0.0000 0.9999 [1 per cell]
Mg 0.5068 0.5005 0.4998 [1 per cell]
H 0.0167 0.5003 0.8332 [1 per cell]
H 0.0180 0.0018 0.3328 [1 per cell]
H 0.3131 0.4278 0.1066 [1 per cell]
H 0.3127 0.6272 0.1611 [1 per cell]
H 0.3138 0.9467 0.7319 [1 per cell]
H 0.3161 0.1282 0.6595 [1 per cell]
H 0.3160 0.4456 0.2336 [1 per cell]
H 0.3163 0.9288 0.6050 [1 per cell]
H 0.5167 0.5016 0.1658 [1 per cell]
H 0.5181 0.0006 0.6665 [1 per cell]
H 0.8134 0.0550 0.2675 [1 per cell]
H 0.8130 0.3743 0.8382 [1 per cell]
H 0.8132 0.5736 0.8927 [1 per cell]
H 0.8159 0.0728 0.3945 [1 per cell]
H 0.8155 0.5558 0.7657 [1 per cell]
H 0.8165 0.8735 0.3399 [1 per cell]
Br 0.2486 0.2649 0.9623 [1 per cell]
Br 0.2487 0.8120 0.8863 [1 per cell]
Br 0.2486 0.9248 0.1512 [1 per cell]
Br 0.2554 0.4272 0.6514 [1 per cell]
Br 0.2556 0.3098 0.3874 [1 per cell]
Br 0.2555 0.7646 0.4606 [1 per cell]
Br 0.7487 0.0761 0.8489 [1 per cell]
Br 0.7486 0.1889 0.1134 [1 per cell]
Br 0.7486 0.7355 0.0376 [1 per cell]
Br 0.7554 0.6917 0.6121 [1 per cell]
Br 0.7555 0.2367 0.5391 [1 per cell]
Br 0.7556 0.5742 0.3482 [1 per cell]
N 0.3633 0.5005 0.1668 [1 per cell]
N 0.3647 0.0011 0.6657 [1 per cell]
N 0.8633 0.5010 0.8324 [1 per cell]
N 0.8647 0.0008 0.3337 [1 per cell]

Simulated X-ray powder pattern
Compound: Dy2Th8Sc3
Radiation: Cu Kα (weighted mean of Kα1 and Kα2)
Structure: a DFT-relaxed cell (GGA-PBE, Alexandria)
Peak positions follow from Bragg's law for the DFT cell and can differ from measured ones.

Principal peaks in the range 10 to 80 degrees two-theta, in order of rising 2θ:
hkl 0 2 1, 2θ 22.52, intensity 17; hkl 2 0 1, 2θ 25.49, intensity 20; hkl 2 2 1, 2θ 30.00, intensity 22; hkl 0 4 0, 2θ 31.40, intensity 56; hkl 1 1 -2, 2θ 31.85, intensity 34; hkl 4 2 -1, 2θ 32.42, intensity 100; hkl 3 1 1, 2θ 32.83, intensity 30; hkl 2 2 -2, 2θ 34.64, intensity 24; hkl 1 3 -2, 2θ 39.09, intensity 19; hkl 3 3 1, 2θ 39.91, intensity 19; hkl 3 5 1, 2θ 51.66, intensity 16; hkl 4 6 -1, 2θ 56.55, intensity 21

Atomic structure:
Cell: 12.9172 11.3950 5.8490 Å, 90.00 110.56 90.00°
Space group C2/m (No. 12)
Unique sites:
Dy 0.1957 0.0000 0.3613 [4 per cell]
Th 0.0701 0.0000 0.7921 [4 per cell]
Th 0.1445 0.5000 0.0848 [4 per cell]
Th 0.1667 0.2542 0.6692 [8 per cell]
Sc 0.0000 0.2476 0.0000 [4 per cell]
Sc 0.0000 0.5000 0.5000 [2 per cell]

Simulated X-ray powder pattern
Compound: Np3BeTl3Se8
Radiation: Cu Kα (weighted mean of Kα1 and Kα2)
Structure: a DFT-relaxed cell (GGA-PBE, Alexandria)
Peak positions follow from Bragg's law for the DFT cell and can differ from measured ones.

Principal peaks in the range 10 to 80 degrees two-theta, in order of rising 2θ:
hkl 0 0 1, 2θ 11.32, intensity 15; hkl 1 1 -1, 2θ 14.62, intensity 25; hkl 0 0 2, 2θ 22.76, intensity 20; hkl 2 2 0, 2θ 26.43, intensity 19; hkl 4 0 0, 2θ 29.25, intensity 57; hkl 2 2 -2, 2θ 29.48, intensity 100; hkl 4 0 -4, 2θ 39.41, intensity 17; hkl 2 2 2, 2θ 40.12, intensity 39; hkl 6 2 -2, 2θ 43.84, intensity 36; hkl 0 4 0, 2θ 44.82, intensity 17; hkl 2 2 -4, 2θ 46.40, intensity 17; hkl 4 4 0, 2θ 54.42, intensity 18

Atomic structure:
Cell: 14.4133 8.0893 9.2207 Å, 90.00 122.06 90.00°
Space group C2/m (No. 12)
Unique sites:
Np 0.0000 0.0000 0.0000 [2 per cell]
Np 0.2500 0.2500 0.0000 [4 per cell]
Be 0.0000 0.5000 0.0000 [2 per cell]
Tl 0.0000 0.5000 0.5000 [2 per cell]
Tl 0.2500 0.2500 0.5000 [4 per cell]
Se 0.0152 0.2850 0.8254 [8 per cell]
Se 0.2358 0.0000 0.2084 [4 per cell]
Se 0.2417 0.0000 0.7842 [4 per cell]

Simulated X-ray powder pattern
Compound: Er5Ni2Sn5
Radiation: Cu Kα (weighted mean of Kα1 and Kα2)
Structure: a DFT-relaxed cell (GGA-PBE, Alexandria)
Peak positions follow from Bragg's law for the DFT cell and can differ from measured ones.

Principal peaks in the range 10 to 80 degrees two-theta, in order of rising 2θ:
hkl 3 1 0, 2θ 29.86, intensity 23; hkl 3 1 -3, 2θ 32.59, intensity 100; hkl 2 0 2, 2θ 34.24, intensity 52; hkl 1 1 2, 2θ 34.47, intensity 30; hkl 1 1 -3, 2θ 35.85, intensity 15; hkl 5 1 -1, 2θ 36.99, intensity 73; hkl 6 0 -4, 2θ 37.66, intensity 13; hkl 0 2 0, 2θ 40.25, intensity 44; hkl 8 0 -4, 2θ 46.19, intensity 13; hkl 2 2 2, 2θ 53.85, intensity 33; hkl 1 1 -5, 2θ 57.34, intensity 12; hkl 3 3 -3, 2θ 68.34, intensity 19

Atomic structure:
Cell: 15.8965 4.4816 10.4328 Å, 90.00 130.65 90.00°
Space group C2/m (No. 12)
Unique sites:
Er 0.0000 0.0000 0.0000 [2 per cell]
Er 0.1275 0.0000 0.4269 [4 per cell]
Er 0.1761 0.0000 0.8244 [4 per cell]
Ni 0.1460 0.5000 0.2327 [4 per cell]
Sn 0.0000 0.5000 0.5000 [2 per cell]
Sn 0.0531 0.5000 0.8558 [4 per cell]
Sn 0.2485 0.0000 0.2855 [4 per cell]